Structure and theoretical powder XRD pattern of HoBe2SiNi2 (a DFT-relaxed cell (GGA-PBE, Alexandria); Cu Kα).
Neutral-atom scattering factors, no anomalous dispersion.

Cell and atoms:
abc: 4.018 4.018 5.350
angles: 90.00 90.00 90.00
Element x y z (fractional)
Ho 0.000 0.000 0.000
Be 0.000 0.500 0.500
Be 0.500 0.000 0.500
Si 0.000 0.000 0.500
Ni 0.500 0.500 0.255
Ni 0.500 0.500 0.745

Most intense lines, 2θ = 10–90°, most intense first:
2.227 Å, 40.5 deg, intensity 100
2.841 Å, 31.5 deg, intensity 93
1.492 Å, 62.2 deg, intensity 54
3.213 Å, 27.8 deg, intensity 50
2.009 Å, 45.1 deg, intensity 39
5.350 Å, 16.6 deg, intensity 28


Structure and theoretical powder XRD pattern of Rb3Tl8Pt3 (a DFT-relaxed cell (GGA-PBE, Alexandria); Cu Kα).
Neutral-atom scattering factors, no anomalous dispersion.

Cell and atoms:
abc: 8.820 8.820 6.255
angles: 102.65 102.65 83.99
Element x y z (fractional)
Rb 0.000 0.000 0.000
Rb 0.350 0.350 0.365
Rb 0.650 0.650 0.635
Tl 0.036 0.714 0.405
Tl 0.164 0.588 0.900
Tl 0.286 0.964 0.595
Tl 0.412 0.836 0.100
Tl 0.588 0.164 0.900
Tl 0.714 0.036 0.405
Tl 0.836 0.412 0.100
Tl 0.964 0.286 0.595
Pt 0.277 0.277 0.811
Pt 0.500 0.500 0.000
Pt 0.723 0.723 0.189

Most intense lines, 2θ = 10–90°, most intense first:
5.450 Å, 16.3 deg, intensity 100
3.072 Å, 29.1 deg, intensity 82
2.766 Å, 32.4 deg, intensity 52
2.400 Å, 37.5 deg, intensity 51
2.169 Å, 41.6 deg, intensity 44
3.313 Å, 26.9 deg, intensity 37


What did the first record say?
Structure and theoretical powder XRD pattern of HoBe2SiNi2 (a DFT-relaxed cell (GGA-PBE, Alexandria); Cu Kα).
Neutral-atom scattering factors, no anomalous dispersion.

Cell and atoms:
abc: 4.018 4.018 5.350
angles: 90.00 90.00 90.00
Element x y z (fractional)
Ho 0.000 0.000 0.000
Be 0.000 0.500 0.500
Be 0.500 0.000 0.500
Si 0.000 0.000 0.500
Ni 0.500 0.500 0.255
Ni 0.500 0.500 0.745

Most intense lines, 2θ = 10–90°, most intense first:
2.227 Å, 40.5 deg, intensity 100
2.841 Å, 31.5 deg, intensity 93
1.492 Å, 62.2 deg, intensity 54
3.213 Å, 27.8 deg, intensity 50
2.009 Å, 45.1 deg, intensity 39
5.350 Å, 16.6 deg, intensity 28